# 1
Simulated X-ray diffraction stick pattern
Compound: Cs2NaTe2Pd
Radiation: λ = 1.5418 Å (Cu Kα)
Structure: a crystal structure in Alexandria, relaxed with PBE
Neutral-atom scattering factors, no anomalous dispersion.

Structure:
Cell: 7.4464 16.3371 7.4105 Å, 90.00 90.00 90.00°
Space group Ibam (No. 72)
Symmetry-distinct sites (fractional):
Cs 0.2470 0.1663 0.0000
Na 0.0000 0.5000 0.2500
Te 0.2177 0.0835 0.5000
Pd 0.0000 0.0000 0.2500

The 10 most intense peaks (2θ from 5° to 70°), in order of rising 2θ:
d [Å]	2theta	intensity	index
8.169	10.83	20	0 2 0
6.776	13.07	26	1 1 0
3.723	23.90	24	2 0 0
3.705	24.02	27	0 0 2
3.224	27.67	100	1 4 1
2.748	32.59	51	0 4 2
2.626	34.14	59	2 0 2
2.039	44.42	23	3 4 1
2.033	44.56	27	1 4 3
1.903	47.79	22	1 8 1


# 2
Simulated X-ray diffraction stick pattern
Compound: Li2CePb3S6
Radiation: λ = 1.5418 Å (Cu Kα)
Structure: a crystal structure in Alexandria, relaxed with PBE
Neutral-atom scattering factors, no anomalous dispersion.

Structure:
Cell: 6.9709 12.1580 7.1454 Å, 90.00 108.14 90.00°
Space group C2/m (No. 12)
Symmetry-distinct sites (fractional):
Li 0.0000 0.1791 0.0000
Ce 0.0000 0.5000 0.0000
Pb 0.0000 0.0000 0.5000
Pb 0.0000 0.3325 0.5000
S 0.2396 0.3386 0.2203
S 0.2406 0.5000 0.7593

The 10 most intense peaks (2θ from 5° to 70°), in order of rising 2θ:
d [Å]	2theta	intensity	index
6.790	13.04	71	0 0 1
3.457	25.77	37	1 3 0
3.427	26.00	19	2 0 -1
3.395	26.25	26	0 0 2
3.308	26.95	71	2 0 0
2.896	30.87	100	1 3 1
2.857	31.31	48	2 0 -2
2.647	33.87	23	1 3 -2
2.053	44.12	36	1 3 -3
2.016	44.97	35	3 3 -1


# 3
Simulated X-ray diffraction stick pattern
Compound: ThZrSc5
Radiation: λ = 1.5418 Å (Cu Kα)
Structure: a crystal structure in Alexandria, relaxed with PBE
Neutral-atom scattering factors, no anomalous dispersion.

Structure:
Cell: 10.3025 11.6665 6.4062 Å, 90.00 107.97 90.00°
Space group C2/c (No. 15)
Symmetry-distinct sites (fractional):
Th 0.0000 0.1502 0.2500
Zr 0.2500 0.2500 0.0000
Sc 0.0000 0.1196 0.7500
Sc 0.0325 0.3686 0.5377
Sc 0.2483 0.4741 0.3531

The 10 most intense peaks (2θ from 5° to 70°), in order of rising 2θ:
d [Å]	2theta	intensity	index
7.504	11.79	54	1 1 0
4.263	20.84	64	1 1 1
4.214	21.08	39	0 2 1
3.597	24.75	30	2 2 -1
3.211	27.78	51	3 1 -1
2.903	30.80	35	2 2 1
2.613	34.32	82	3 1 -2
2.506	35.84	100	2 4 0
2.472	36.34	56	1 3 -2
2.450	36.68	48	4 0 0


# 4
Simulated X-ray diffraction stick pattern
Compound: Er8Tl2Pb
Radiation: λ = 1.5418 Å (Cu Kα)
Structure: a crystal structure in Alexandria, relaxed with PBE
Neutral-atom scattering factors, no anomalous dispersion.

Structure:
Cell: 16.3124 5.2765 8.5008 Å, 90.00 120.27 90.00°
Space group C2/m (No. 12)
Symmetry-distinct sites (fractional):
Er 0.0627 0.0000 0.2185
Er 0.0919 0.5000 0.9565
Er 0.1419 0.0000 0.6862
Er 0.1817 0.5000 0.4454
Tl 0.2197 0.0000 0.1174
Pb 0.0000 0.5000 0.5000

The 10 most intense peaks (2θ from 5° to 70°), in order of rising 2θ:
d [Å]	2theta	intensity	index
2.767	32.36	47	4 0 -3
2.756	32.49	100	5 1 -1
2.725	32.86	99	1 1 2
2.638	33.98	48	0 2 0
1.967	46.14	18	6 0 1
1.909	47.63	32	4 2 -3
1.583	58.27	16	3 1 -5
1.577	58.53	18	6 2 1
1.545	59.87	18	5 3 -1
1.539	60.11	18	1 3 2


# 5
Simulated X-ray diffraction stick pattern
Compound: LiTiSi3O8
Radiation: λ = 1.5418 Å (Cu Kα)
Structure: a crystal structure in Alexandria, relaxed with PBE
Neutral-atom scattering factors, no anomalous dispersion.

Structure:
Cell: 7.1388 7.2132 7.3083 Å, 63.49 62.57 79.77°
Space group P-1 (No. 2)
Symmetry-distinct sites (fractional):
Li 0.1792 0.3859 0.2699
Ti 0.1291 0.9522 0.3203
Si 0.2660 0.2337 0.6948
Si 0.2701 0.6553 0.7142
Si 0.3901 0.8067 0.9750
O 0.0860 0.8058 0.6529
O 0.0996 0.2165 0.6106
O 0.2086 0.4231 0.7735
O 0.2540 0.0243 0.9226
O 0.2819 0.6428 0.9409
O 0.3226 0.7232 0.2417
O 0.3587 0.1550 0.1920
O 0.4996 0.2583 0.4904

The 10 most intense peaks (2θ from 5° to 70°), in order of rising 2θ:
d [Å]	2theta	intensity	index
6.451	13.73	57	0 1 0
4.441	19.99	30	1 1 0
3.657	24.34	100	1 -1 1
3.605	24.69	48	1 0 -1
3.377	26.39	40	2 1 1
3.166	28.19	37	2 0 0
3.080	28.99	31	1 2 2
2.863	31.25	31	2 0 2
2.661	33.69	33	2 2 1
2.396	37.54	40	1 1 3


# 6
Simulated X-ray diffraction stick pattern
Compound: TbY5Er6
Radiation: λ = 1.5418 Å (Cu Kα)
Structure: a crystal structure in Alexandria, relaxed with PBE
Neutral-atom scattering factors, no anomalous dispersion.

Structure:
Cell: 6.1324 10.6061 11.7292 Å, 90.00 100.00 90.00°
Space group C2/m (No. 12)
Symmetry-distinct sites (fractional):
Tb 0.0000 0.0000 0.0000
Y 0.0000 0.1668 0.5000
Y 0.0000 0.3333 0.0000
Y 0.0000 0.5000 0.5000
Er 0.2493 0.0000 0.7502
Er 0.2498 0.1664 0.2498

The 10 most intense peaks (2θ from 5° to 70°), in order of rising 2θ:
d [Å]	2theta	intensity	index
5.775	15.34	7	0 0 2
3.017	29.61	5	2 0 0
2.888	30.96	100	1 3 1
2.501	35.90	50	2 0 2
2.295	39.25	2	1 3 3
1.769	51.68	36	1 3 5
1.691	54.23	2	3 3 1
1.509	61.44	21	4 0 0
1.508	61.50	21	0 6 4
1.444	64.53	12	2 6 2


# 7
Simulated X-ray diffraction stick pattern
Compound: Al3Cl
Radiation: λ = 1.5418 Å (Cu Kα)
Structure: a crystal structure in Alexandria, relaxed with PBE
Neutral-atom scattering factors, no anomalous dispersion.

Structure:
Cell: 2.9785 4.8957 5.2853 Å, 90.00 103.04 90.00°
Space group P2/m (No. 10)
Symmetry-distinct sites (fractional):
Al 0.0000 0.0000 0.0000
Al 0.3290 0.5000 0.7415
Cl 0.5000 0.0000 0.5000

The 10 most intense peaks (2θ from 5° to 70°), in order of rising 2θ:
d [Å]	2theta	intensity	index
2.448	36.71	58	0 2 0
2.440	36.84	100	1 1 -1
2.315	38.91	45	1 0 1
2.279	39.55	93	0 1 2
1.682	54.57	31	1 2 1
1.649	55.74	13	1 0 -3
1.412	66.20	16	1 3 -1
1.391	67.31	11	2 1 0
1.378	68.02	17	0 3 2
1.368	68.61	14	1 2 -3


# 8
Simulated X-ray diffraction stick pattern
Compound: PbS4Br
Radiation: λ = 1.5418 Å (Cu Kα)
Structure: a crystal structure in Alexandria, relaxed with PBE
Neutral-atom scattering factors, no anomalous dispersion.

Structure:
Cell: 3.6648 10.8105 11.0465 Å, 62.62 81.32 81.23°
Space group P-1 (No. 2)
Symmetry-distinct sites (fractional):
Pb 0.0233 0.2220 0.2259
S 0.1883 0.3223 0.7472
S 0.2116 0.6452 0.3666
S 0.4647 0.1016 0.4769
S 0.4647 0.4787 0.0987
Br 0.3667 0.9035 0.8925

The 10 most intense peaks (2θ from 5° to 70°), in order of rising 2θ:
d [Å]	2theta	intensity	index
9.186	9.63	100	0 1 1
5.679	15.60	51	0 1 -1
5.336	16.61	28	0 2 1
4.884	18.16	27	0 0 2
4.778	18.57	20	0 2 0
4.593	19.33	31	0 2 2
3.042	29.36	31	1 -1 1
2.781	32.18	28	1 0 -2
2.753	32.53	46	1 1 3
2.719	32.94	27	1 3 1